Entry 1:
This entry pairs a crystal structure of AgHgI3 with its theoretical XRD peak list. Radiation: copper Kα. Structure: a structure optimized by DFT (PBE).
Lines closer than 0.1° are merged.

Structure:
Lattice parameters (Å, degrees): 12.505 12.505 7.458 90.00 90.00 159.70
Fractional coordinates of all 10 atoms:
Ag: 0.189 0.811 0.500
Ag: 0.811 0.189 0.000
Hg: 0.389 0.611 0.475
Hg: 0.611 0.389 0.975
I: 0.051 0.949 0.828
I: 0.287 0.713 0.278
I: 0.379 0.621 0.849
I: 0.621 0.379 0.349
I: 0.713 0.287 0.778
I: 0.949 0.051 0.328

Main lines, most intense first (15° ≤ 2θ ≤ 90°):
two_theta, I/Imax
36.46, 100
24.77, 88
25.87, 88
38.74, 86
18.69, 78
23.73, 66
42.52, 64
43.21, 56
22.90, 55
40.96, 54

---

Entry 2:
This entry pairs a crystal structure of Ag2HgI4 with its theoretical XRD peak list. Radiation: copper Kα. Structure: a structure optimized by DFT (PBE).
Lines closer than 0.1° are merged.

Structure:
Lattice parameters (Å, degrees): 6.558 6.558 6.466 90.00 90.00 90.00
Fractional coordinates of all 7 atoms:
Ag: 0.000 0.500 0.000
Ag: 0.500 0.000 0.000
Hg: 0.000 0.000 0.500
I: 0.261 0.261 0.741
I: 0.261 0.739 0.259
I: 0.739 0.261 0.259
I: 0.739 0.739 0.741

Main lines, most intense first (15° ≤ 2θ ≤ 90°):
two_theta, I/Imax
23.61, 100
39.13, 52
45.96, 33
38.84, 27
70.51, 17
46.46, 16
19.28, 14
62.11, 13
56.09, 9
33.55, 9

---

Entry 3:
This entry pairs a crystal structure of AgHgI2 with its theoretical XRD peak list. Radiation: copper Kα. Structure: a structure optimized by DFT (PBE).
Lines closer than 0.1° are merged.

Structure:
Lattice parameters (Å, degrees): 4.770 7.315 9.769 108.78 90.15 90.22
Fractional coordinates of all 8 atoms:
Ag: 0.003 0.078 0.370
Ag: 0.997 0.922 0.630
Hg: 0.496 0.533 0.872
Hg: 0.504 0.467 0.128
I: 0.003 0.670 0.333
I: 0.498 0.866 0.771
I: 0.502 0.134 0.229
I: 0.997 0.330 0.667

Main lines, most intense first (15° ≤ 2θ ≤ 90°):
two_theta, I/Imax
20.95, 100
24.37, 47
37.71, 41
18.31, 41
37.32, 31
19.19, 29
41.54, 28
34.58, 27
34.71, 27
26.14, 24

---

Entry 4:
This entry pairs a crystal structure of AgHgI2 with its theoretical XRD peak list. Radiation: copper Kα. Structure: a structure optimized by DFT (PBE).
Lines closer than 0.1° are merged.

Structure:
Lattice parameters (Å, degrees): 4.519 7.219 10.215 75.95 89.01 77.02
Fractional coordinates of all 8 atoms:
Ag: 0.000 0.000 0.000
Ag: 0.332 0.566 0.085
Hg: 0.551 0.852 0.418
Hg: 0.678 0.022 0.609
I: 0.032 0.223 0.721
I: 0.226 0.588 0.356
I: 0.442 0.133 0.131
I: 0.789 0.687 0.916

Main lines, most intense first (15° ≤ 2θ ≤ 90°):
two_theta, I/Imax
24.68, 100
21.77, 98
40.28, 75
26.65, 73
31.34, 68
42.39, 62
17.51, 54
26.47, 45
39.75, 44
33.28, 39